No. 1
Structure and simulated PXRD pattern of ZnHg2 (a crystal structure in Alexandria, relaxed with PBE; λ = 1.5418 Å (Cu Kα)).
Neutral-atom scattering factors, no anomalous dispersion.

Most intense lines, 2θ = 5–70°, in order of rising 2θ:
(hkl), 2theta, d_spacing, I_rel
1 0 1, 27.3, 3.269, 81.9
0 0 8, 28.6, 3.116, 32.2
1 0 5, 32.6, 2.750, 74.3
1 0 7, 37.2, 2.420, 100.0
1 1 2, 39.3, 2.292, 76.0
1 0 9, 42.6, 2.121, 25.0
1 1 6, 44.6, 2.033, 50.1
2 0 0, 55.8, 1.649, 31.4
1 1 14, 66.0, 1.415, 56.3
2 1 7, 68.9, 1.363, 33.2

Crystal structure
```
data_ZnHg2
_symmetry_space_group_name_H-M 'I 41/a m d'
_symmetry_Int_Tables_number 141
_cell_length_a 3.298
_cell_length_b 3.298
_cell_length_c 24.930
_cell_angle_alpha 90.00
_cell_angle_beta 90.00
_cell_angle_gamma 90.00
loop_
_symmetry_equiv_pos_as_xyz
'x,y,z'
'-x,-y,-z'
'-y+1/4,x+3/4,z+1/4'
'y+1/4,-x+3/4,-z+1/4'
'-x+1/2,-y,z+1/2'
'x+1/2,y,-z+1/2'
'y+1/4,-x+1/4,z+3/4'
'-y+1/4,x+1/4,-z+3/4'
'x,-y,-z'
'-x,y,z'
'-y+1/4,-x+1/4,-z+3/4'
'y+1/4,x+1/4,z+3/4'
'-x+1/2,y,-z+1/2'
'x+1/2,-y,z+1/2'
'y+1/4,x+3/4,-z+1/4'
'-y+1/4,-x+3/4,z+1/4'
'x+1/2,y+1/2,z+1/2'
'-x+1/2,-y+1/2,-z+1/2'
'-y+3/4,x+1/4,z+3/4'
'y+3/4,-x+1/4,-z+3/4'
'-x,-y+1/2,z'
'x,y+1/2,-z'
'y+3/4,-x+3/4,z+1/4'
'-y+3/4,x+3/4,-z+1/4'
'x+1/2,-y+1/2,-z+1/2'
'-x+1/2,y+1/2,z+1/2'
'-y+3/4,-x+3/4,-z+1/4'
'y+3/4,x+3/4,z+1/4'
'-x,y+1/2,-z'
'x,-y+1/2,z'
'y+3/4,x+1/4,-z+3/4'
'-y+3/4,-x+1/4,z+3/4'
loop_
_atom_site_label
_atom_site_fract_x
_atom_site_fract_y
_atom_site_fract_z
Zn1 0.000 0.250 0.375
Hg1 0.000 0.250 0.802
```

---

No. 2
Structure and simulated PXRD pattern of Zn3Hg2 (a crystal structure in Alexandria, relaxed with PBE; λ = 1.5418 Å (Cu Kα)).
Neutral-atom scattering factors, no anomalous dispersion.

Most intense lines, 2θ = 5–70°, in order of rising 2θ:
(hkl), 2theta, d_spacing, I_rel
0 0 4, 17.2, 5.147, 15.7
0 0 6, 26.0, 3.431, 8.3
1 0 1, 29.6, 3.013, 21.0
1 0 5, 36.7, 2.449, 100.0
1 1 0, 41.9, 2.154, 35.6
0 0 10, 44.0, 2.059, 13.7
1 1 4, 45.7, 1.987, 5.9
1 1 6, 50.0, 1.824, 5.9
2 0 0, 60.8, 1.523, 11.7
1 1 10, 62.4, 1.488, 19.3

Crystal structure
```
data_Zn3Hg2
_symmetry_space_group_name_H-M 'I 4/m m m'
_symmetry_Int_Tables_number 139
_symmetry_space_group_name_Hall '-I 4 2'
_cell_length_a 3.046
_cell_length_b 3.046
_cell_length_c 20.587
_cell_angle_alpha 90.00
_cell_angle_beta 90.00
_cell_angle_gamma 90.00
loop_
_atom_site_label
_atom_site_fract_x
_atom_site_fract_y
_atom_site_fract_z
Zn1 0.000 0.000 0.000
Zn2 0.000 0.000 0.210
Hg1 0.000 0.000 0.396
```

---

What did the second record say?
Structure and simulated PXRD pattern of Zn3Hg2 (a crystal structure in Alexandria, relaxed with PBE; λ = 1.5418 Å (Cu Kα)).
Neutral-atom scattering factors, no anomalous dispersion.

Most intense lines, 2θ = 5–70°, in order of rising 2θ:
(hkl), 2theta, d_spacing, I_rel
0 0 4, 17.2, 5.147, 15.7
0 0 6, 26.0, 3.431, 8.3
1 0 1, 29.6, 3.013, 21.0
1 0 5, 36.7, 2.449, 100.0
1 1 0, 41.9, 2.154, 35.6
0 0 10, 44.0, 2.059, 13.7
1 1 4, 45.7, 1.987, 5.9
1 1 6, 50.0, 1.824, 5.9
2 0 0, 60.8, 1.523, 11.7
1 1 10, 62.4, 1.488, 19.3

Crystal structure
```
data_Zn3Hg2
_symmetry_space_group_name_H-M 'I 4/m m m'
_symmetry_Int_Tables_number 139
_symmetry_space_group_name_Hall '-I 4 2'
_cell_length_a 3.046
_cell_length_b 3.046
_cell_length_c 20.587
_cell_angle_alpha 90.00
_cell_angle_beta 90.00
_cell_angle_gamma 90.00
loop_
_atom_site_label
_atom_site_fract_x
_atom_site_fract_y
_atom_site_fract_z
Zn1 0.000 0.000 0.000
Zn2 0.000 0.000 0.210
Hg1 0.000 0.000 0.396
```